Starting from a PBE-relaxed structure, the XRD peak list of Li5Ni9As7 was calculated for Cu Kα X-rays.
Neutral-atom scattering factors, no anomalous dispersion.

Top 10 peaks for 2θ = 10–90°, in order of rising 2θ:
| d [Å] | intensity | h k l |
| --- | --- | --- |
| 4.694 | 60.8 | 1 1 0 |
| 4.065 | 35.1 | 2 0 0 |
| 3.436 | 69.0 | 1 0 1 |
| 3.073 | 53.2 | 2 1 0 |
| 2.387 | 92.0 | 2 1 1 |
| 1.938 | 100.0 | 1 3 1 |
| 1.896 | 46.3 | 0 0 2 |
| 1.791 | 55.9 | 4 0 1 |
| 1.774 | 50.6 | 1 4 0 |
| 1.295 | 34.3 | 1 4 2 |

Atomic structure:
```
data_Li5Ni9As7
_space_group_name_H-M_alt 'P -6'
_space_group_IT_number 174
_space_group_name_Hall 'P -6'
_cell_length_a 9.3883
_cell_length_b 9.3883
_cell_length_c 3.7912
_cell_angle_alpha 90.00
_cell_angle_beta 90.00
_cell_angle_gamma 120.00
loop_
_atom_site_label
_atom_site_type_symbol
_atom_site_fract_x
_atom_site_fract_y
_atom_site_fract_z
Li1 Li 0.0000 0.0000 0.0000
Li2 Li 0.1173 0.5493 0.5000
Li3 Li 0.6667 0.3333 0.5000
Ni1 Ni 0.1635 0.7872 0.0000
Ni2 Ni 0.2896 0.2342 0.5000
Ni3 Ni 0.3814 0.0954 0.0000
As1 As 0.0436 0.2476 0.5000
As2 As 0.3333 0.6667 0.0000
As3 As 0.4609 0.3717 0.0000
```

---

Starting from a PBE-relaxed structure, the XRD peak list of DyCu2O4 was calculated for Cu Kα X-rays.
Neutral-atom scattering factors, no anomalous dispersion.

Top 10 peaks for 2θ = 10–90°, in order of rising 2θ:
| d [Å] | intensity | h k l |
| --- | --- | --- |
| 3.093 | 58.2 | 1 1 2 |
| 2.848 | 14.9 | 2 0 0 |
| 2.802 | 50.7 | 1 0 3 |
| 2.463 | 100.0 | 2 1 1 |
| 2.453 | 21.9 | 2 0 2 |
| 1.829 | 22.4 | 1 0 5 |
| 1.688 | 27.1 | 1 3 2 |
| 1.635 | 17.2 | 3 0 3 |
| 1.559 | 20.7 | 3 2 1 |
| 1.546 | 28.6 | 2 2 4 |

Atomic structure:
```
data_DyCu2O4
_space_group_name_H-M_alt 'I 41/a'
_space_group_IT_number 88
_cell_length_a 5.696
_cell_length_b 5.696
_cell_length_c 9.656
_cell_angle_alpha 90.00
_cell_angle_beta 90.00
_cell_angle_gamma 90.00
loop_
_space_group_symop_operation_xyz
'x,y,z'
'-x,-y,-z'
'-y+3/4,x+1/4,z+1/4'
'y+3/4,-x+1/4,-z+1/4'
'-x+1/2,-y,z+1/2'
'x+1/2,y,-z+1/2'
'y+3/4,-x+3/4,z+3/4'
'-y+3/4,x+3/4,-z+3/4'
'x+1/2,y+1/2,z+1/2'
'-x+1/2,-y+1/2,-z+1/2'
'-y+1/4,x+3/4,z+3/4'
'y+1/4,-x+3/4,-z+3/4'
'-x,-y+1/2,z'
'x,y+1/2,-z'
'y+1/4,-x+1/4,z+1/4'
'-y+1/4,x+1/4,-z+1/4'
loop_
_atom_site_label
_atom_site_type_symbol
_atom_site_fract_x
_atom_site_fract_y
_atom_site_fract_z
Dy1 Dy 0.000 0.250 0.125
Cu1 Cu 0.000 0.000 0.500
O1 O 0.147 0.042 0.322
```

---

Starting from a PBE-relaxed structure, the XRD peak list of KCa12Si4S2O26F was calculated for Cu Kα X-rays.
Neutral-atom scattering factors, no anomalous dispersion.

Top 10 peaks for 2θ = 10–90°, in order of rising 2θ:
| d [Å] | intensity | h k l |
| --- | --- | --- |
| 3.624 | 20.7 | 1 1 0 |
| 3.470 | 14.4 | 1 0 10 |
| 3.129 | 44.0 | 0 2 1 |
| 2.853 | 33.2 | 1 1 9 |
| 2.776 | 100.0 | 0 0 15 |
| 2.688 | 24.4 | 2 0 8 |
| 2.159 | 40.9 | 2 0 14 |
| 2.003 | 35.0 | 0 2 16 |
| 1.812 | 57.6 | 2 2 0 |
| 1.517 | 32.1 | 2 2 15 |

Atomic structure:
```
data_KCa12Si4S2O26F
_space_group_name_H-M_alt 'R -3 m'
_space_group_IT_number 166
_space_group_name_Hall '-R 3 2"'
_cell_length_a 7.2473
_cell_length_b 7.2473
_cell_length_c 41.6416
_cell_angle_alpha 90.00
_cell_angle_beta 90.00
_cell_angle_gamma 120.00
loop_
_atom_site_label
_atom_site_type_symbol
_atom_site_fract_x
_atom_site_fract_y
_atom_site_fract_z
K1 K 0.0000 0.0000 0.0000
Ca1 Ca 0.0182 0.5091 0.0649
Ca2 Ca 0.0243 0.5122 0.2006
Si1 Si 0.0000 0.0000 0.0829
Si2 Si 0.0000 0.0000 0.2047
S1 S 0.0000 0.0000 0.3236
O1 O 0.0000 0.0000 0.1232
O2 O 0.0000 0.0000 0.2450
O3 O 0.0000 0.0000 0.3597
O4 O 0.0000 0.0000 0.4316
O5 O 0.0804 0.5402 0.7396
O6 O 0.0819 0.5410 0.8594
O7 O 0.1101 0.5551 0.3554
F1 F 0.0000 0.0000 0.5000
```

---

Starting from a PBE-relaxed structure, the XRD peak list of DySeO3 was calculated for Cu Kα X-rays.
Neutral-atom scattering factors, no anomalous dispersion.

Top 10 peaks for 2θ = 10–90°, in order of rising 2θ:
| d [Å] | intensity | h k l |
| --- | --- | --- |
| 4.018 | 43.8 | 1 0 -2 |
| 3.816 | 50.5 | 1 1 -2 |
| 3.730 | 31.0 | 0 3 1 |
| 3.370 | 100.0 | 1 3 0 |
| 3.040 | 80.3 | 1 0 2 |
| 2.971 | 66.8 | 0 3 2 |
| 2.921 | 42.1 | 2 1 -1 |
| 2.814 | 85.3 | 1 1 -3 |
| 1.756 | 34.1 | 2 4 2 |
| 1.686 | 30.8 | 0 1 5 |

Atomic structure:
```
data_DySeO3
_space_group_name_H-M_alt 'P 1 21/c 1'
_space_group_IT_number 14
_space_group_name_Hall '-P 2ybc'
_cell_length_a 6.021
_cell_length_b 12.451
_cell_length_c 8.872
_cell_angle_alpha 90.00
_cell_angle_beta 106.42
_cell_angle_gamma 90.00
loop_
_atom_site_label
_atom_site_type_symbol
_atom_site_fract_x
_atom_site_fract_y
_atom_site_fract_z
Dy1 Dy 0.137 0.241 0.144
Dy2 Dy 0.261 0.559 0.087
Se1 Se 0.128 0.515 0.676
Se2 Se 0.454 0.659 0.496
O1 O 0.052 0.591 0.282
O2 O 0.092 0.095 0.580
O3 O 0.249 0.745 0.000
O4 O 0.288 0.227 0.913
O5 O 0.366 0.518 0.853
O6 O 0.484 0.673 0.308
```

---

Starting from a PBE-relaxed structure, the XRD peak list of ScN was calculated for Cu Kα X-rays.
Neutral-atom scattering factors, no anomalous dispersion.

Top 6 peaks for 2θ = 10–90°, in order of rising 2θ:
| d [Å] | intensity | h k l |
| --- | --- | --- |
| 2.609 | 60.2 | 1 1 1 |
| 2.259 | 100.0 | 2 0 0 |
| 1.597 | 57.2 | 2 2 0 |
| 1.362 | 23.5 | 3 1 1 |
| 1.304 | 17.5 | 2 2 2 |
| 1.130 | 7.9 | 4 0 0 |

Atomic structure:
```
data_ScN
_space_group_name_H-M_alt 'F m -3 m'
_space_group_IT_number 225
_space_group_name_Hall '-F 4 2 3'
_cell_length_a 4.518
_cell_length_b 4.518
_cell_length_c 4.518
_cell_angle_alpha 90.00
_cell_angle_beta 90.00
_cell_angle_gamma 90.00
loop_
_atom_site_label
_atom_site_type_symbol
_atom_site_fract_x
_atom_site_fract_y
_atom_site_fract_z
Sc1 Sc 0.000 0.000 0.000
N1 N 0.000 0.000 0.500
```

---

Starting from a PBE-relaxed structure, the XRD peak list of Th3In13Ni4 was calculated for Cu Kα X-rays.
Neutral-atom scattering factors, no anomalous dispersion.

Top 10 peaks for 2θ = 10–90°, in order of rising 2θ:
| d [Å] | intensity | h k l |
| --- | --- | --- |
| 2.678 | 100.0 | 3 2 0 |
| 2.581 | 37.9 | 3 2 1 |
| 2.414 | 20.3 | 4 0 0 |
| 2.342 | 9.5 | 4 1 0 |
| 1.793 | 9.1 | 4 3 2 |
| 1.656 | 12.0 | 4 3 3 |
| 1.567 | 15.6 | 5 3 2 |
| 1.456 | 12.2 | 6 2 2 |
| 1.327 | 9.4 | 6 4 1 |
| 1.101 | 11.0 | 6 5 4 |

Atomic structure:
```
data_Th3In13Ni4
_space_group_name_H-M_alt 'P m -3 n'
_space_group_IT_number 223
_space_group_name_Hall '-P 4n 2 3'
_cell_length_a 9.657
_cell_length_b 9.657
_cell_length_c 9.657
_cell_angle_alpha 90.00
_cell_angle_beta 90.00
_cell_angle_gamma 90.00
loop_
_atom_site_label
_atom_site_type_symbol
_atom_site_fract_x
_atom_site_fract_y
_atom_site_fract_z
Th1 Th 0.000 0.250 0.500
In1 In 0.000 0.000 0.000
In2 In 0.000 0.305 0.155
Ni1 Ni 0.250 0.250 0.250
```

---

Starting from a PBE-relaxed structure, the XRD peak list of HfFeAs was calculated for Cu Kα X-rays.
Neutral-atom scattering factors, no anomalous dispersion.

Top 10 peaks for 2θ = 10–90°, in order of rising 2θ:
| d [Å] | intensity | h k l |
| --- | --- | --- |
| 3.426 | 22.8 | 0 1 1 |
| 2.444 | 65.1 | 1 1 2 |
| 2.391 | 23.1 | 2 0 2 |
| 2.338 | 100.0 | 2 1 1 |
| 2.248 | 27.5 | 1 0 3 |
| 2.044 | 39.1 | 0 1 3 |
| 1.947 | 38.6 | 0 2 0 |
| 1.583 | 12.8 | 1 1 4 |
| 1.472 | 14.5 | 1 2 3 |
| 1.297 | 17.4 | 3 1 4 |

Atomic structure:
```
data_HfFeAs
_space_group_name_H-M_alt 'P n m a'
_space_group_IT_number 62
_space_group_name_Hall '-P 2ac 2n'
_cell_length_a 6.398
_cell_length_b 3.895
_cell_length_c 7.202
_cell_angle_alpha 90.00
_cell_angle_beta 90.00
_cell_angle_gamma 90.00
loop_
_atom_site_label
_atom_site_type_symbol
_atom_site_fract_x
_atom_site_fract_y
_atom_site_fract_z
Hf1 Hf 0.016 0.250 0.187
Fe1 Fe 0.150 0.250 0.562
As1 As 0.222 0.750 0.383
```

---

Starting from a PBE-relaxed structure, the XRD peak list of Sr2ZrNbO6 was calculated for Cu Kα X-rays.
Neutral-atom scattering factors, no anomalous dispersion.

Top 10 peaks for 2θ = 10–90°, in order of rising 2θ:
| d [Å] | intensity | h k l |
| --- | --- | --- |
| 4.143 | 2.9 | 2 0 0 |
| 2.929 | 100.0 | 2 2 0 |
| 2.392 | 2.6 | 2 2 2 |
| 2.071 | 35.1 | 4 0 0 |
| 1.853 | 0.8 | 4 2 0 |
| 1.691 | 39.6 | 4 2 2 |
| 1.465 | 21.1 | 4 4 0 |
| 1.310 | 17.1 | 6 2 0 |
| 1.196 | 6.9 | 4 4 4 |
| 1.107 | 20.9 | 6 4 2 |

Atomic structure:
```
data_Sr2ZrNbO6
_space_group_name_H-M_alt 'F m -3 m'
_space_group_IT_number 225
_space_group_name_Hall '-F 4 2 3'
_cell_length_a 8.285
_cell_length_b 8.285
_cell_length_c 8.285
_cell_angle_alpha 90.00
_cell_angle_beta 90.00
_cell_angle_gamma 90.00
loop_
_atom_site_label
_atom_site_type_symbol
_atom_site_fract_x
_atom_site_fract_y
_atom_site_fract_z
Sr1 Sr 0.250 0.250 0.250
Zr1 Zr 0.000 0.000 0.000
Nb1 Nb 0.000 0.000 0.500
O1 O 0.000 0.000 0.254
```

---

Starting from a PBE-relaxed structure, the XRD peak list of MgCd3 was calculated for Cu Kα X-rays.
Neutral-atom scattering factors, no anomalous dispersion.

Top 10 peaks for 2θ = 10–90°, in order of rising 2θ:
| d [Å] | intensity | h k l |
| --- | --- | --- |
| 4.088 | 13.8 | 1 1 1 |
| 3.540 | 7.3 | 2 0 0 |
| 2.503 | 100.0 | 2 2 0 |
| 2.135 | 7.2 | 3 1 1 |
| 1.770 | 17.0 | 4 0 0 |
| 1.624 | 2.9 | 3 3 1 |
| 1.583 | 2.7 | 4 2 0 |
| 1.445 | 33.7 | 4 2 2 |
| 1.252 | 10.3 | 4 4 0 |
| 1.120 | 14.8 | 6 2 0 |

Atomic structure:
```
data_MgCd3
_space_group_name_H-M_alt 'F m -3 m'
_space_group_IT_number 225
_space_group_name_Hall '-F 4 2 3'
_cell_length_a 7.081
_cell_length_b 7.081
_cell_length_c 7.081
_cell_angle_alpha 90.00
_cell_angle_beta 90.00
_cell_angle_gamma 90.00
loop_
_atom_site_label
_atom_site_type_symbol
_atom_site_fract_x
_atom_site_fract_y
_atom_site_fract_z
Mg1 Mg 0.000 0.000 0.000
Cd1 Cd 0.000 0.000 0.500
Cd2 Cd 0.250 0.250 0.250
```